Diffraction record for AgSbPbS3. The X-ray powder pattern is theoretical, not measured: it uses a PBE-relaxed structure and λ = 1.5418 Å (Cu Kα).
Peak positions follow from Bragg's law for the DFT cell and can differ from measured ones.

Top 6 peaks for 2θ from 15° to 90°, by angle:
| two_theta | I_rel |
| --- | --- |
| 15.0 | 63 |
| 30.7 | 100 |
| 31.4 | 33 |
| 32.5 | 32 |
| 37.5 | 33 |
| 37.8 | 35 |

Crystal structure
```
AgSbPbS3
1.0
8.762 0.000 0.000
0.000 3.934 0.000
-1.200 0.000 9.090
Ag Sb Pb S
2 2 2 6
Direct
0.085 0.250 0.096
0.915 0.750 0.904
0.339 0.750 0.360
0.661 0.250 0.640
0.181 0.250 0.747
0.819 0.750 0.253
0.138 0.250 0.376
0.229 0.750 0.970
0.410 0.750 0.634
0.590 0.250 0.366
0.771 0.250 0.030
0.862 0.750 0.624
```